This entry pairs a crystal structure of Tb2Fe17H3 with its computed PXRD pattern. Radiation: a wavelength of 1.5418 Å. Structure: the PBE geometry in the Materials Project.
Kinematic intensities with the Lorentz-polarization factor, no thermal factor.

Top 12 peaks for 2θ = 15–90°, by angle:
2θ/deg, d/Å, Rel. int., index
30.18, 2.962, 44, 1 1 2
36.42, 2.467, 41, 3 0 0
41.00, 2.202, 34, 2 0 3
42.30, 2.137, 66, 2 2 0
42.75, 2.115, 100, 3 0 2
44.09, 2.054, 33, 0 0 4
46.40, 1.957, 18, 2 1 3
47.99, 1.896, 17, 2 2 2
61.71, 1.503, 20, 4 1 2
62.75, 1.481, 19, 2 2 4
77.36, 1.234, 16, 6 0 0
80.16, 1.197, 18, 3 0 6

Cell and atoms:
a = 8.5465 Å, b = 8.5465 Å, c = 8.2166 Å
α = 90.00°, β = 90.00°, γ = 120.00°
Space group P6_3/mmc (No. 194)
Unique sites:
1 Tb 0.0000 0.0000 0.2500 (multiplicity 2)
2 Tb 0.3333 0.6667 0.2500 (multiplicity 2)
3 Fe 0.0000 0.5000 0.0000 (multiplicity 6)
4 Fe 0.0483 0.3772 0.7500 (multiplicity 12)
5 Fe 0.1666 0.3333 0.0155 (multiplicity 12)
6 Fe 0.3333 0.6667 0.6052 (multiplicity 4)
7 H 0.1649 0.3298 0.2500 (multiplicity 6)